No. 1
HoTe2: simulated powder diffractogram (Cu Ka), based on a crystal structure in the Materials Project, relaxed with PBE.
Lines closer than 0.1° are merged.

Crystal structure
Unit cell a=4.438 b=4.438 c=8.874 alpha=90.00 beta=90.00 gamma=90.00
Sites, in units of the cell vectors:
Ho1 0.250 0.250 0.229
Ho2 0.750 0.750 0.771
Te1 0.250 0.250 0.872
Te2 0.250 0.750 0.500
Te3 0.750 0.250 0.500
Te4 0.750 0.750 0.128

Top 10 peaks for 2θ = 10–90°, by angle:
- 2θ = 28.4°, I 32
- 2θ = 30.2°, I 100
- 2θ = 35.0°, I 75
- 2θ = 36.5°, I 45
- 2θ = 40.7°, I 54
- 2θ = 51.5°, I 25
- 2θ = 55.8°, I 38
- 2θ = 58.9°, I 21
- 2θ = 67.6°, I 26
- 2θ = 70.4°, I 26

No. 2
Ho2Te5: simulated powder diffractogram (Cu Ka), based on a crystal structure in the Materials Project, relaxed with PBE.
Lines closer than 0.1° are merged.

Crystal structure
Unit cell a=21.975 b=21.975 c=4.382 alpha=90.00 beta=90.00 gamma=168.56
Sites, in units of the cell vectors:
Ho1 0.100 0.900 0.750
Ho2 0.306 0.694 0.750
Ho3 0.694 0.306 0.250
Ho4 0.900 0.100 0.250
Te1 0.044 0.956 0.250
Te2 0.174 0.826 0.750
Te3 0.250 0.750 0.250
Te4 0.379 0.621 0.750
Te5 0.456 0.544 0.250
Te6 0.544 0.456 0.750
Te7 0.621 0.379 0.250
Te8 0.750 0.250 0.750
Te9 0.826 0.174 0.250
Te10 0.956 0.044 0.750

Top 10 peaks for 2θ = 10–90°, by angle:
- 2θ = 28.6°, I 36
- 2θ = 28.9°, I 29
- 2θ = 30.6°, I 100
- 2θ = 34.3°, I 60
- 2θ = 35.3°, I 19
- 2θ = 36.8°, I 24
- 2θ = 41.2°, I 66
- 2θ = 50.9°, I 29
- 2θ = 59.7°, I 26
- 2θ = 68.6°, I 19

No. 3
HoTlTe2: simulated powder diffractogram (Cu Ka), based on a crystal structure in the Materials Project, relaxed with PBE.
Lines closer than 0.1° are merged.

Crystal structure
Unit cell a=4.431 b=4.431 c=24.717 alpha=90.00 beta=90.00 gamma=120.00
Sites, in units of the cell vectors:
Ho1 0.000 0.000 0.000
Ho2 0.333 0.667 0.667
Ho3 0.667 0.333 0.333
Tl1 0.000 0.000 0.500
Tl2 0.333 0.667 0.167
Tl3 0.667 0.333 0.833
Te1 0.000 0.000 0.263
Te2 0.000 0.000 0.737
Te3 0.333 0.667 0.404
Te4 0.333 0.667 0.930
Te5 0.667 0.333 0.070
Te6 0.667 0.333 0.596

Top 10 peaks for 2θ = 10–90°, by angle:
- 2θ = 27.4°, I 100
- 2θ = 37.4°, I 39
- 2θ = 40.7°, I 36
- 2θ = 44.0°, I 7
- 2θ = 49.8°, I 19
- 2θ = 56.5°, I 12
- 2θ = 61.5°, I 15
- 2θ = 66.2°, I 17
- 2θ = 71.9°, I 11
- 2θ = 74.1°, I 6

No. 4
HoUTe6: simulated powder diffractogram (Cu Ka), based on a crystal structure in the Materials Project, relaxed with PBE.
Lines closer than 0.1° are merged.

Crystal structure
Unit cell a=4.377 b=4.361 c=25.321 alpha=90.00 beta=90.00 gamma=90.00
Sites, in units of the cell vectors:
Ho1 0.000 0.000 0.000
Ho2 0.000 0.500 0.500
U1 0.500 0.000 0.332
U2 0.500 0.500 0.832
Te1 0.000 0.000 0.242
Te2 0.000 0.000 0.595
Te3 0.000 0.000 0.871
Te4 0.000 0.500 0.095
Te5 0.000 0.500 0.371
Te6 0.000 0.500 0.742
Te7 0.500 0.000 0.096
Te8 0.500 0.000 0.460
Te9 0.500 0.000 0.742
Te10 0.500 0.500 0.242
Te11 0.500 0.500 0.596
Te12 0.500 0.500 0.960

Top 10 peaks for 2θ = 10–90°, by angle:
- 2θ = 14.0°, I 20
- 2θ = 28.2°, I 43
- 2θ = 29.1°, I 35
- 2θ = 30.8°, I 100
- 2θ = 34.0°, I 82
- 2θ = 35.0°, I 24
- 2θ = 38.3°, I 29
- 2θ = 41.2°, I 44
- 2θ = 41.4°, I 34
- 2θ = 59.9°, I 29

No. 5
HoUTe4: simulated powder diffractogram (Cu Ka), based on a crystal structure in the Materials Project, relaxed with PBE.
Lines closer than 0.1° are merged.

Crystal structure
Unit cell a=4.196 b=6.095 c=14.127 alpha=90.00 beta=90.00 gamma=90.00
Sites, in units of the cell vectors:
Ho1 0.000 0.000 0.000
Ho2 0.500 0.500 0.500
U1 0.000 0.000 0.276
U2 0.500 0.500 0.776
Te1 0.000 0.252 0.640
Te2 0.000 0.500 0.342
Te3 0.000 0.500 0.934
Te4 0.000 0.748 0.640
Te5 0.500 0.000 0.434
Te6 0.500 0.000 0.842
Te7 0.500 0.248 0.140
Te8 0.500 0.752 0.140

Top 10 peaks for 2θ = 10–90°, by angle:
- 2θ = 15.8°, I 24
- 2θ = 28.5°, I 100
- 2θ = 32.0°, I 34
- 2θ = 36.4°, I 40
- 2θ = 37.0°, I 55
- 2θ = 39.0°, I 20
- 2θ = 43.1°, I 22
- 2θ = 47.5°, I 15
- 2θ = 56.7°, I 18
- 2θ = 68.5°, I 17

No. 6
Ho3Th: simulated powder diffractogram (Cu Ka), based on a crystal structure in the Materials Project, relaxed with PBE.
Lines closer than 0.1° are merged.

Crystal structure
Unit cell a=7.120 b=7.120 c=5.788 alpha=90.00 beta=90.00 gamma=120.00
Sites, in units of the cell vectors:
Ho1 0.167 0.333 0.250
Ho2 0.167 0.833 0.250
Ho3 0.333 0.167 0.750
Ho4 0.667 0.833 0.250
Ho5 0.833 0.167 0.750
Ho6 0.833 0.667 0.750
Th1 0.333 0.667 0.750
Th2 0.667 0.333 0.250

Top 10 peaks for 2θ = 10–90°, by angle:
- 2θ = 29.0°, I 23
- 2θ = 30.9°, I 26
- 2θ = 32.9°, I 100
- 2θ = 42.9°, I 16
- 2θ = 51.3°, I 19
- 2θ = 56.2°, I 22
- 2θ = 61.1°, I 23
- 2θ = 62.3°, I 16
- 2θ = 84.9°, I 14
- 2θ = 86.7°, I 9

No. 7
HoTl3: simulated powder diffractogram (Cu Ka), based on a crystal structure in the Materials Project, relaxed with PBE.
Lines closer than 0.1° are merged.

Crystal structure
Unit cell a=4.772 b=4.772 c=4.772 alpha=90.00 beta=90.00 gamma=90.00
Sites, in units of the cell vectors:
Ho1 0.000 0.000 0.000
Tl1 0.000 0.500 0.500
Tl2 0.500 0.000 0.500
Tl3 0.500 0.500 0.000

Top 9 peaks for 2θ = 10–90°, by angle:
- 2θ = 18.6°, I 1
- 2θ = 26.4°, I 1
- 2θ = 32.5°, I 100
- 2θ = 37.7°, I 51
- 2θ = 54.4°, I 36
- 2θ = 64.8°, I 42
- 2θ = 68.1°, I 12
- 2θ = 80.5°, I 6
- 2θ = 89.5°, I 19

No. 8
HoTmTl2: simulated powder diffractogram (Cu Ka), based on a crystal structure in the Materials Project, relaxed with PBE.
Lines closer than 0.1° are merged.

Crystal structure
Unit cell a=7.540 b=7.540 c=7.540 alpha=90.00 beta=90.00 gamma=90.00
Sites, in units of the cell vectors:
Ho1 0.000 0.000 0.000
Ho2 0.000 0.500 0.500
Ho3 0.500 0.000 0.500
Ho4 0.500 0.500 0.000
Tm1 0.000 0.000 0.500
Tm2 0.000 0.500 0.000
Tm3 0.500 0.000 0.000
Tm4 0.500 0.500 0.500
Tl1 0.250 0.250 0.250
Tl2 0.250 0.250 0.750
Tl3 0.250 0.750 0.250
Tl4 0.250 0.750 0.750
Tl5 0.750 0.250 0.250
Tl6 0.750 0.250 0.750
Tl7 0.750 0.750 0.250
Tl8 0.750 0.750 0.750

Top 6 peaks for 2θ = 10–90°, by angle:
- 2θ = 23.6°, I 1
- 2θ = 33.6°, I 100
- 2θ = 48.3°, I 18
- 2θ = 60.1°, I 38
- 2θ = 70.7°, I 12
- 2θ = 80.6°, I 17

No. 9
HoU3: simulated powder diffractogram (Cu Ka), based on a crystal structure in the Materials Project, relaxed with PBE.
Lines closer than 0.1° are merged.

Crystal structure
Unit cell a=4.374 b=4.374 c=9.506 alpha=90.00 beta=90.00 gamma=90.00
Sites, in units of the cell vectors:
Ho1 0.000 0.000 0.000
Ho2 0.500 0.500 0.500
U1 0.000 0.000 0.500
U2 0.000 0.500 0.250
U3 0.000 0.500 0.750
U4 0.500 0.000 0.250
U5 0.500 0.000 0.750
U6 0.500 0.500 0.000

Top 10 peaks for 2θ = 10–90°, by angle:
- 2θ = 34.6°, I 100
- 2θ = 37.9°, I 20
- 2θ = 41.3°, I 31
- 2θ = 57.2°, I 24
- 2θ = 59.8°, I 11
- 2θ = 66.3°, I 16
- 2θ = 71.0°, I 26
- 2θ = 73.0°, I 12
- 2θ = 80.9°, I 2
- 2θ = 89.7°, I 4

No. 10
YHo: simulated powder diffractogram (Cu Ka), based on a crystal structure in the Materials Project, relaxed with PBE.
Lines closer than 0.1° are merged.

Crystal structure
Unit cell a=3.610 b=3.610 c=5.731 alpha=90.00 beta=90.00 gamma=120.00
Sites, in units of the cell vectors:
Y1 0.000 0.000 0.000
Ho1 0.333 0.667 0.500

Top 10 peaks for 2θ = 10–90°, by angle:
- 2θ = 15.5°, I 10
- 2θ = 28.6°, I 28
- 2θ = 31.2°, I 24
- 2θ = 32.6°, I 100
- 2θ = 42.8°, I 19
- 2θ = 50.6°, I 19
- 2θ = 56.5°, I 21
- 2θ = 60.6°, I 22
- 2θ = 61.5°, I 16
- 2θ = 83.5°, I 14

No. 11
Y3Ho: simulated powder diffractogram (Cu Ka), based on a crystal structure in the Materials Project, relaxed with PBE.
Lines closer than 0.1° are merged.

Crystal structure
Unit cell a=7.237 b=7.237 c=5.755 alpha=90.00 beta=90.00 gamma=120.00
Sites, in units of the cell vectors:
Y1 0.167 0.335 0.250
Y2 0.167 0.833 0.250
Y3 0.335 0.167 0.750
Y4 0.665 0.833 0.250
Y5 0.833 0.167 0.750
Y6 0.833 0.665 0.750
Ho1 0.333 0.667 0.750
Ho2 0.667 0.333 0.250

Top 10 peaks for 2θ = 10–90°, by angle:
- 2θ = 28.5°, I 24
- 2θ = 31.1°, I 25
- 2θ = 32.5°, I 100
- 2θ = 42.7°, I 16
- 2θ = 50.4°, I 19
- 2θ = 56.2°, I 21
- 2θ = 60.4°, I 22
- 2θ = 61.3°, I 16
- 2θ = 83.3°, I 13
- 2θ = 86.4°, I 8

No. 12
HoZn2: simulated powder diffractogram (Cu Ka), based on a crystal structure in the Materials Project, relaxed with PBE.
Lines closer than 0.1° are merged.

Crystal structure
Unit cell a=4.458 b=7.069 c=7.591 alpha=90.00 beta=90.00 gamma=90.00
Sites, in units of the cell vectors:
Ho1 0.000 0.250 0.028
Ho2 0.000 0.750 0.972
Ho3 0.500 0.250 0.472
Ho4 0.500 0.750 0.528
Zn1 0.000 0.041 0.666
Zn2 0.000 0.459 0.666
Zn3 0.000 0.541 0.334
Zn4 0.000 0.959 0.334
Zn5 0.500 0.041 0.834
Zn6 0.500 0.459 0.834
Zn7 0.500 0.541 0.166
Zn8 0.500 0.959 0.166

Top 10 peaks for 2θ = 10–90°, by angle:
- 2θ = 23.1°, I 21
- 2θ = 33.5°, I 17
- 2θ = 34.5°, I 100
- 2θ = 34.7°, I 45
- 2θ = 40.5°, I 30
- 2θ = 41.0°, I 50
- 2θ = 54.3°, I 25
- 2θ = 66.7°, I 10
- 2θ = 68.0°, I 13
- 2θ = 69.8°, I 13

Q: Which formula does entry 11 have?
A: Y3Ho